[1]
For CsKHg, a crystal structure in Alexandria, relaxed with PBE gives the computed X-ray powder pattern in this record (Cu Kα (λ = 1.5418 Å)).
Kinematic intensities with the Lorentz-polarization factor, no thermal factor.

Largest 10 diffraction maxima, low angle first, 10 to 80 degrees two-theta:
2theta	Rel. int.
14.06	100
24.31	43
24.76	48
25.82	57
27.33	37
29.46	48
29.58	36
30.74	31
31.69	37
34.56	32

Cell and atoms:
Unit cell a=7.4969 b=7.4969 c=9.0271 alpha=125.49 beta=125.49 gamma=65.66
Element x y z (fractional)
Cs: 0.1947 0.1947 0.0356
Cs: 0.8053 0.8053 0.9644
K: 0.3306 0.3306 0.6392
K: 0.6694 0.6694 0.3608
Hg: 0.1934 0.8066 0.5000
Hg: 0.8066 0.1934 0.5000

***

[2]
For PrOsC, a crystal structure in Alexandria, relaxed with PBE gives the computed X-ray powder pattern in this record (Cu Kα (λ = 1.5418 Å)).
Kinematic intensities with the Lorentz-polarization factor, no thermal factor.

Largest 10 diffraction maxima, low angle first, 10 to 80 degrees two-theta:
2theta	Rel. int.
30.69	28
32.96	100
34.67	20
46.97	19
47.65	10
56.02	22
57.75	10
60.26	8
61.06	15
69.14	12

Cell and atoms:
Unit cell a=5.8262 b=3.8170 c=5.1748 alpha=90.00 beta=90.00 gamma=90.00
Element x y z (fractional)
Pr: 0.2500 0.0000 0.2336
Pr: 0.7500 0.0000 0.7664
Os: 0.2500 0.5000 0.7306
Os: 0.7500 0.5000 0.2694
C: 0.0000 0.5000 0.5000
C: 0.5000 0.5000 0.5000

***

[3]
For VIrRh4, a crystal structure in Alexandria, relaxed with PBE gives the computed X-ray powder pattern in this record (Cu Kα (λ = 1.5418 Å)).
Kinematic intensities with the Lorentz-polarization factor, no thermal factor.

Largest 10 diffraction maxima, low angle first, 10 to 80 degrees two-theta:
2theta	Rel. int.
23.18	5
24.52	9
27.99	5
33.13	4
39.24	3
40.83	100
47.39	16
47.56	32
69.40	20
69.53	10

Cell and atoms:
Unit cell a=6.0415 b=6.0415 c=3.8369 alpha=90.00 beta=90.00 gamma=143.06
Element x y z (fractional)
V: 0.0000 0.0000 0.0000
Ir: 0.5000 0.5000 0.5000
Rh: 0.1633 0.8367 0.5000
Rh: 0.3392 0.6608 0.0000
Rh: 0.6608 0.3392 0.0000
Rh: 0.8367 0.1633 0.5000